No. 1
Theoretical X-ray diffraction stick pattern
Compound: Tb2Y2Pd
Radiation: CuKα
Structure: a cell relaxed with PBE

Largest 10 diffraction maxima, sorted by position, 2θ = 15–90°:
2θ = 24.9°, I 29.0; 2θ = 30.2°, I 25.8; 2θ = 30.4°, I 100.0; 2θ = 30.9°, I 21.9; 2θ = 32.9°, I 89.0; 2θ = 36.1°, I 53.8; 2θ = 37.0°, I 48.6; 2θ = 40.5°, I 21.6; 2θ = 48.5°, I 21.2; 2θ = 57.7°, I 18.9

a = 7.6569 Å, b = 11.8346 Å, c = 7.5105 Å
α = 90.00°, β = 117.86°, γ = 90.00°
Space group C2/m (No. 12)
Unique sites:
Tb  0.2409  0.0000  0.1168 x4
Tb  0.2456  0.5000  0.3908 x4
Y  0.0288  0.2169  0.7506 x8
Pd  0.0000  0.3798  0.0000 x4

No. 2
Theoretical X-ray diffraction stick pattern
Compound: Nd3PuIn4
Radiation: CuKα
Structure: a cell relaxed with PBE

Largest 10 diffraction maxima, sorted by position, 2θ = 15–90°:
2θ = 32.7°, I 100.0; 2θ = 33.0°, I 49.0; 2θ = 46.5°, I 9.2; 2θ = 47.4°, I 17.8; 2θ = 58.2°, I 18.8; 2θ = 58.8°, I 37.0; 2θ = 68.6°, I 11.4; 2θ = 77.4°, I 7.9; 2θ = 78.8°, I 7.9; 2θ = 79.0°, I 7.9

a = 3.8336 Å, b = 3.8336 Å, c = 15.6177 Å
α = 90.00°, β = 90.00°, γ = 90.00°
Space group P4/mmm (No. 123)
Unique sites:
Nd  0.0000  0.0000  0.0000 x1
Nd  0.0000  0.0000  0.2537 x2
Pu  0.0000  0.0000  0.5000 x1
In  0.5000  0.5000  0.1274 x2
In  0.5000  0.5000  0.3793 x2